# PdC
Computed powder X-ray diffraction pattern, Cu Kα (λ = 1.5418 Å). Input: a DFT-relaxed cell (GGA-PBE, the Materials Project).
Kinematic intensities with the Lorentz-polarization factor, no thermal factor.

Crystal structure
```
PdC
1.0
4.440 0.000 0.000
0.000 4.440 0.000
0.000 0.000 4.440
Pd C
4 4
Cartesian
0.000 0.000 0.000
0.000 2.220 2.220
2.220 0.000 2.220
2.220 2.220 0.000
0.000 0.000 2.220
0.000 2.220 0.000
2.220 0.000 0.000
2.220 2.220 2.220
```

The 3 most intense peaks (5° ≤ 2θ ≤ 70°), in order of falling intensity:
two_theta  intensity
35.0  100
40.6  72
58.8  46

---

# Na2UI4O15
Computed powder X-ray diffraction pattern, Cu Kα (λ = 1.5418 Å). Input: a DFT-relaxed cell (GGA-PBE, the Materials Project).
Kinematic intensities with the Lorentz-polarization factor, no thermal factor.

Crystal structure
```
Na2UI4O15
1.0
5.714 -4.212 0.000
5.714 4.212 0.000
-0.216 0.000 7.755
Na U I O
2 1 4 15
Cartesian
0.000 0.000 0.000
5.714 -0.302 0.000
5.606 -0.279 3.877
2.643 1.978 6.062
3.151 2.058 1.821
8.061 2.058 5.934
8.569 1.978 1.693
4.163 1.468 0.401
4.134 1.329 3.224
1.662 -0.474 5.913
2.114 -0.575 1.616
7.048 1.468 7.354
4.814 -0.240 5.557
7.078 1.329 4.531
3.914 -1.890 3.301
6.398 -0.240 2.198
4.199 -2.097 0.458
5.606 -2.440 3.877
7.298 -1.890 4.454
9.098 -0.575 6.138
7.013 -2.097 7.297
9.550 -0.474 1.842
```

The 12 most intense peaks (5° ≤ 2θ ≤ 70°), in order of falling intensity:
two_theta  intensity
26.3  100
31.3  52
13.1  50
28.2  41
27.4  41
19.0  32
17.5  27
45.4  24
44.4  23
17.2  23
42.9  19
25.7  18

---

# La2Ti2O7
Computed powder X-ray diffraction pattern, Cu Kα (λ = 1.5418 Å). Input: a DFT-relaxed cell (GGA-PBE, the Materials Project).
Kinematic intensities with the Lorentz-polarization factor, no thermal factor.

Crystal structure
```
La2Ti2O7
1.0
1.952 -12.924 0.000
1.952 12.924 0.000
0.000 0.000 5.677
La Ti O
4 4 14
Cartesian
1.952 11.610 2.838
1.952 7.679 5.215
1.952 -7.679 2.377
1.952 -11.610 0.000
1.952 4.205 5.480
1.952 1.614 2.871
1.952 -1.614 0.033
1.952 -4.205 2.642
1.952 11.645 0.270
1.952 8.978 2.929
1.952 5.687 1.009
1.952 5.207 3.981
1.952 3.090 1.882
1.952 2.365 4.725
1.952 0.345 1.421
1.952 -0.345 4.259
1.952 -2.365 1.887
1.952 -3.090 4.720
1.952 -5.207 1.142
1.952 -5.687 3.847
1.952 -8.978 0.091
1.952 -11.645 3.108
```

The 12 most intense peaks (5° ≤ 2θ ≤ 70°), in order of falling intensity:
two_theta  intensity
29.6  100
46.5  52
20.8  49
32.8  43
27.6  43
31.5  38
31.9  34
28.0  28
42.4  23
55.0  22
43.1  22
33.4  20

---

# Ba2Sr3Nb10O30
Computed powder X-ray diffraction pattern, Cu Kα (λ = 1.5418 Å). Input: a DFT-relaxed cell (GGA-PBE, the Materials Project).
Kinematic intensities with the Lorentz-polarization factor, no thermal factor.

Crystal structure
```
Ba2Sr3Nb10O30
1.0
12.661 0.000 0.000
0.000 4.064 0.000
-0.076 0.000 12.663
Ba Sr Nb O
2 3 10 30
Cartesian
2.111 0.000 4.094
10.474 0.000 8.569
3.998 3.986 10.532
6.292 4.059 6.332
8.587 3.986 2.131
-0.038 1.960 6.332
0.860 1.963 10.078
2.600 1.965 0.910
3.612 1.992 7.387
5.297 1.998 3.656
6.330 1.963 0.000
7.288 1.998 9.007
8.973 1.992 5.276
9.984 1.965 11.753
11.724 1.963 2.585
-0.038 0.093 6.332
-0.005 2.158 4.357
0.858 2.150 1.876
1.075 0.111 10.010
1.767 2.179 11.805
1.969 2.145 6.269
2.639 0.113 1.088
2.866 2.136 9.214
3.525 2.144 2.808
3.745 0.103 7.399
4.267 2.171 12.585
4.545 2.157 5.510
5.278 0.107 3.795
5.480 2.168 8.035
6.155 2.163 10.648
6.330 0.103 0.000
6.430 2.163 2.016
7.105 2.168 4.628
7.306 0.107 8.868
8.039 2.157 7.153
8.318 2.171 0.078
8.840 0.103 5.265
9.060 2.144 9.855
9.719 2.136 3.449
9.945 0.113 11.576
10.615 2.145 6.394
10.818 2.179 0.858
11.509 0.111 2.653
11.727 2.150 10.788
12.590 2.158 8.307
```

The 12 most intense peaks (5° ≤ 2θ ≤ 70°), in order of falling intensity:
two_theta  intensity
29.1  100
31.4  95
27.0  90
44.6  42
54.1  34
21.9  27
25.4  24
29.7  22
50.8  21
51.2  20
31.5  19
50.9  19

---

What did the fourth record say?
# Ba2Sr3Nb10O30
Computed powder X-ray diffraction pattern, Cu Kα (λ = 1.5418 Å). Input: a DFT-relaxed cell (GGA-PBE, the Materials Project).
Kinematic intensities with the Lorentz-polarization factor, no thermal factor.

Crystal structure
```
Ba2Sr3Nb10O30
1.0
12.661 0.000 0.000
0.000 4.064 0.000
-0.076 0.000 12.663
Ba Sr Nb O
2 3 10 30
Cartesian
2.111 0.000 4.094
10.474 0.000 8.569
3.998 3.986 10.532
6.292 4.059 6.332
8.587 3.986 2.131
-0.038 1.960 6.332
0.860 1.963 10.078
2.600 1.965 0.910
3.612 1.992 7.387
5.297 1.998 3.656
6.330 1.963 0.000
7.288 1.998 9.007
8.973 1.992 5.276
9.984 1.965 11.753
11.724 1.963 2.585
-0.038 0.093 6.332
-0.005 2.158 4.357
0.858 2.150 1.876
1.075 0.111 10.010
1.767 2.179 11.805
1.969 2.145 6.269
2.639 0.113 1.088
2.866 2.136 9.214
3.525 2.144 2.808
3.745 0.103 7.399
4.267 2.171 12.585
4.545 2.157 5.510
5.278 0.107 3.795
5.480 2.168 8.035
6.155 2.163 10.648
6.330 0.103 0.000
6.430 2.163 2.016
7.105 2.168 4.628
7.306 0.107 8.868
8.039 2.157 7.153
8.318 2.171 0.078
8.840 0.103 5.265
9.060 2.144 9.855
9.719 2.136 3.449
9.945 0.113 11.576
10.615 2.145 6.394
10.818 2.179 0.858
11.509 0.111 2.653
11.727 2.150 10.788
12.590 2.158 8.307
```

The 12 most intense peaks (5° ≤ 2θ ≤ 70°), in order of falling intensity:
two_theta  intensity
29.1  100
31.4  95
27.0  90
44.6  42
54.1  34
21.9  27
25.4  24
29.7  22
50.8  21
51.2  20
31.5  19
50.9  19